# 1
# MgCd2
Calculated PXRD pattern, copper Kα. Input: a crystal structure in the Materials Project, relaxed with GGA-PBE.
Intensities are scaled so that the largest is 100.

Crystal structure
Unit cell a=11.664 b=3.191 c=7.385 alpha=90.00 beta=105.94 gamma=90.00
Positions (direct):
1 Mg 0.027 0.000 0.304
2 Mg 0.473 0.500 0.696
3 Mg 0.527 0.500 0.304
4 Mg 0.973 0.000 0.696
5 Cd 0.137 0.500 0.028
6 Cd 0.191 0.500 0.637
7 Cd 0.309 0.000 0.363
8 Cd 0.363 0.000 0.972
9 Cd 0.637 0.000 0.028
10 Cd 0.691 0.000 0.637
11 Cd 0.809 0.500 0.363
12 Cd 0.863 0.500 0.972

Main lines, in order of falling intensity (2θ = 10–80°):
two_theta  intensity
37.0  100
37.3  98
34.9  78
15.8  49
37.6  46
32.6  45



# 2
# Mg3Cd
Calculated PXRD pattern, copper Kα. Input: a crystal structure in the Materials Project, relaxed with GGA-PBE.
Intensities are scaled so that the largest is 100.

Crystal structure
Unit cell a=3.235 b=3.235 c=9.891 alpha=90.00 beta=90.00 gamma=120.00
Positions (direct):
1 Mg 0.000 0.000 0.000
2 Mg 0.333 0.667 0.255
3 Mg 0.333 0.667 0.745
4 Cd 0.000 0.000 0.500

Main lines, in order of falling intensity (2θ = 10–80°):
two_theta  intensity
36.9  100
31.9  38
33.2  35
17.9  27
56.9  23
49.1  22



# 3
# MgCd2
Calculated PXRD pattern, copper Kα. Input: a crystal structure in the Materials Project, relaxed with GGA-PBE.
Intensities are scaled so that the largest is 100.

Crystal structure
Unit cell a=11.812 b=3.198 c=7.435 alpha=90.00 beta=107.95 gamma=90.00
Positions (direct):
1 Mg 0.193 0.000 0.139
2 Mg 0.307 0.500 0.861
3 Mg 0.693 0.500 0.139
4 Mg 0.807 0.000 0.861
5 Cd 0.032 0.500 0.811
6 Cd 0.140 0.000 0.525
7 Cd 0.360 0.500 0.475
8 Cd 0.468 0.000 0.189
9 Cd 0.532 0.000 0.811
10 Cd 0.640 0.500 0.525
11 Cd 0.860 0.000 0.475
12 Cd 0.968 0.500 0.189

Main lines, in order of falling intensity (2θ = 10–80°):
two_theta  intensity
37.0  100
37.1  99
34.1  86
32.7  54
37.9  51
38.2  51